Record 1
Structure and calculated XRD peak list of LiGa3Te5 (DFT lattice parameters and positions (GGA-PBE); Cu Kα (weighted mean of Kα1 and Kα2)).
No peak broadening, texture or thermal motion is included.

Structure:
Cell lengths 14.6915, 14.6915, 17.9746 Å; angles 90.00, 90.00, 120.00 degrees
Space group R3 (No. 146, hexagonal axes)
Inequivalent atoms, fractional coordinates:
Li 0.0000 0.0000 0.0000 x3
Li 0.0033 0.7356 0.4462 x9
Ga 0.0011 0.4137 0.6926 x9
Ga 0.0792 0.1914 0.2087 x9
Ga 0.0823 0.3347 0.5305 x9
Ga 0.1913 0.0800 0.6840 x9
Te 0.0000 0.0000 0.2737 x3
Te 0.0000 0.0000 0.6179 x3
Te 0.0000 0.5845 0.9454 x9
Te 0.0349 0.4650 0.3429 x9
Te 0.0581 0.8605 0.0681 x9
Te 0.1312 0.3674 0.8807 x9
Te 0.1671 0.4984 0.1122 x9
Te 0.1952 0.7246 0.4906 x9

Principal peaks in the range 5° ≤ 2θ ≤ 70°, by angle:
| two_theta | I/Imax | (hkl) |
| --- | --- | --- |
| 12.05 | 20 | 1 1 0 |
| 25.74 | 100 | 1 3 1 |
| 27.16 | 37 | 2 1 4 |
| 28.50 | 41 | 4 0 1 |
| 32.26 | 23 | 2 -1 6 |
| 36.72 | 13 | 3 0 6 |
| 38.77 | 14 | 4 2 2 |
| 43.59 | 8 | 1 3 7 |
| 44.48 | 55 | 5 2 0 |
| 47.12 | 39 | 7 -6 1 |
| 47.99 | 16 | 4 -1 8 |
| 52.90 | 9 | 0 6 6 |

***

Record 2
Structure and calculated XRD peak list of LiGaTe2 (DFT lattice parameters and positions (GGA-PBE); Cu Kα (weighted mean of Kα1 and Kα2)).
No peak broadening, texture or thermal motion is included.

Structure:
Cell lengths 6.4085, 6.4085, 12.0092 Å; angles 90.00, 90.00, 90.00 degrees
Space group I-42d (No. 122)
Inequivalent atoms, fractional coordinates:
Li 0.0000 0.0000 0.0000 x4
Ga 0.0000 0.0000 0.5000 x4
Te 0.2353 0.7500 0.6250 x8

Principal peaks in the range 5° ≤ 2θ ≤ 70°, by angle:
| two_theta | I/Imax | (hkl) |
| --- | --- | --- |
| 15.67 | 15 | 1 0 1 |
| 24.61 | 100 | 1 1 2 |
| 27.84 | 15 | 2 0 0 |
| 29.76 | 7 | 0 0 4 |
| 39.78 | 22 | 2 2 0 |
| 41.20 | 40 | 2 0 4 |
| 47.34 | 33 | 3 1 2 |
| 49.80 | 15 | 1 1 6 |
| 50.46 | 6 | 2 2 4 |
| 57.53 | 7 | 4 0 0 |
| 63.51 | 6 | 3 3 2 |
| 65.55 | 12 | 3 1 6 |

***

Record 3
Structure and calculated XRD peak list of LiTm2Ga (DFT lattice parameters and positions (GGA-PBE); Cu Kα (weighted mean of Kα1 and Kα2)).
No peak broadening, texture or thermal motion is included.

Structure:
Cell lengths 7.1079, 7.1079, 7.1079 Å; angles 90.00, 90.00, 90.00 degrees
Space group Fm-3m (No. 225)
Inequivalent atoms, fractional coordinates:
Li 0.0000 0.0000 0.0000 x4
Tm 0.2500 0.2500 0.2500 x8
Ga 0.0000 0.0000 0.5000 x4

Principal peaks in the range 5° ≤ 2θ ≤ 70°, by angle:
| two_theta | I/Imax | (hkl) |
| --- | --- | --- |
| 21.66 | 7 | 1 1 1 |
| 25.06 | 48 | 2 0 0 |
| 35.73 | 100 | 2 2 0 |
| 42.17 | 3 | 3 1 1 |
| 44.14 | 14 | 2 2 2 |
| 51.42 | 18 | 4 0 0 |
| 56.43 | 1 | 3 3 1 |
| 58.03 | 19 | 4 2 0 |
| 64.19 | 36 | 4 2 2 |
| 68.61 | 1 | 5 1 1 |

***

Record 4
Structure and calculated XRD peak list of LiYGa4 (DFT lattice parameters and positions (GGA-PBE); Cu Kα (weighted mean of Kα1 and Kα2)).
No peak broadening, texture or thermal motion is included.

Structure:
Cell lengths 4.3548, 4.3548, 6.9065 Å; angles 90.00, 90.00, 120.00 degrees
Space group P-6m2 (No. 187)
Inequivalent atoms, fractional coordinates:
Li 0.0000 0.0000 0.0000 x1
Y 0.0000 0.0000 0.5000 x1
Ga 0.3333 0.6667 0.1914 x2
Ga 0.6667 0.3333 0.2768 x2

Principal peaks in the range 5° ≤ 2θ ≤ 70°, by angle:
| two_theta | I/Imax | (hkl) |
| --- | --- | --- |
| 12.82 | 13 | 0 0 1 |
| 25.80 | 18 | 0 0 2 |
| 26.94 | 61 | 1 0 1 |
| 35.24 | 100 | 1 0 2 |
| 41.47 | 98 | 1 1 0 |
| 46.20 | 32 | 1 0 3 |
| 49.49 | 18 | 1 1 2 |
| 50.15 | 11 | 2 0 1 |
| 55.52 | 26 | 2 0 2 |
| 58.33 | 10 | 1 1 3 |
| 63.80 | 12 | 2 0 3 |
| 69.48 | 13 | 1 1 4 |

***

Record 5
Structure and calculated XRD peak list of LiY2Ga (DFT lattice parameters and positions (GGA-PBE); Cu Kα (weighted mean of Kα1 and Kα2)).
No peak broadening, texture or thermal motion is included.

Structure:
Cell lengths 7.2245, 7.2245, 7.2245 Å; angles 90.00, 90.00, 90.00 degrees
Space group Fm-3m (No. 225)
Inequivalent atoms, fractional coordinates:
Li 0.0000 0.0000 0.0000 x4
Y 0.2500 0.2500 0.2500 x8
Ga 0.0000 0.0000 0.5000 x4

Principal peaks in the range 5° ≤ 2θ ≤ 70°, by angle:
| two_theta | I/Imax | (hkl) |
| --- | --- | --- |
| 21.30 | 16 | 1 1 1 |
| 24.65 | 20 | 2 0 0 |
| 35.13 | 100 | 2 2 0 |
| 41.45 | 9 | 3 1 1 |
| 43.39 | 6 | 2 2 2 |
| 50.53 | 17 | 4 0 0 |
| 55.44 | 4 | 3 3 1 |
| 57.01 | 7 | 4 2 0 |
| 63.04 | 35 | 4 2 2 |
| 67.35 | 3 | 5 1 1 |

***

Record 6
Structure and calculated XRD peak list of Lu5Ga3 (DFT lattice parameters and positions (GGA-PBE); Cu Kα (weighted mean of Kα1 and Kα2)).
No peak broadening, texture or thermal motion is included.

Structure:
Cell lengths 8.4314, 14.5994, 6.3476 Å; angles 90.00, 91.47, 90.00 degrees
Space group C2/m (No. 12)
Inequivalent atoms, fractional coordinates:
Lu 0.0000 0.1486 0.0000 x4
Lu 0.0000 0.1817 0.5000 x4
Lu 0.1215 0.3783 0.2374 x8
Lu 0.2335 0.5000 0.7280 x4
Ga 0.0967 0.0000 0.6943 x4
Ga 0.2012 0.2987 0.7843 x8

Principal peaks in the range 5° ≤ 2θ ≤ 70°, by angle:
| two_theta | I/Imax | (hkl) |
| --- | --- | --- |
| 24.39 | 27 | 0 4 0 |
| 28.15 | 28 | 0 0 2 |
| 30.47 | 22 | 1 1 -2 |
| 30.98 | 30 | 1 1 2 |
| 32.45 | 82 | 3 1 0 |
| 34.96 | 35 | 2 0 -2 |
| 35.17 | 82 | 1 3 -2 |
| 35.25 | 55 | 2 4 -1 |
| 35.61 | 100 | 1 5 1 |
| 35.83 | 57 | 2 0 2 |
| 36.94 | 60 | 3 3 0 |
| 57.89 | 25 | 5 3 0 |

***

Record 7
Structure and calculated XRD peak list of LuGa2 (DFT lattice parameters and positions (GGA-PBE); Cu Kα (weighted mean of Kα1 and Kα2)).
No peak broadening, texture or thermal motion is included.

Structure:
Cell lengths 4.2220, 6.8297, 8.1278 Å; angles 90.00, 90.00, 90.00 degrees
Space group Imma (No. 74)
Inequivalent atoms, fractional coordinates:
Lu 0.0000 0.2500 0.0608 x4
Ga 0.0000 0.0514 0.6601 x8

Principal peaks in the range 5° ≤ 2θ ≤ 70°, by angle:
| two_theta | I/Imax | (hkl) |
| --- | --- | --- |
| 23.75 | 15 | 1 0 1 |
| 33.29 | 51 | 1 1 2 |
| 34.30 | 28 | 0 2 2 |
| 35.59 | 100 | 1 2 1 |
| 39.52 | 29 | 1 0 3 |
| 41.18 | 15 | 0 3 1 |
| 42.84 | 25 | 2 0 0 |
| 51.69 | 11 | 1 1 4 |
| 55.99 | 14 | 2 2 2 |
| 56.92 | 10 | 2 1 3 |
| 60.93 | 9 | 2 3 1 |
| 65.41 | 19 | 1 3 4 |

***

Record 8
Structure and calculated XRD peak list of LuGa (DFT lattice parameters and positions (GGA-PBE); Cu Kα (weighted mean of Kα1 and Kα2)).
No peak broadening, texture or thermal motion is included.

Structure:
Cell lengths 4.2334, 10.6074, 4.0107 Å; angles 90.00, 90.00, 90.00 degrees
Space group Cmcm (No. 63)
Inequivalent atoms, fractional coordinates:
Lu 0.0000 0.1384 0.2500 x4
Ga 0.0000 0.4214 0.2500 x4

Principal peaks in the range 5° ≤ 2θ ≤ 70°, by angle:
| two_theta | I/Imax | (hkl) |
| --- | --- | --- |
| 27.89 | 30 | 0 2 1 |
| 31.87 | 100 | 1 1 1 |
| 33.01 | 39 | 1 3 0 |
| 33.80 | 28 | 0 4 0 |
| 40.12 | 50 | 1 3 1 |
| 40.79 | 14 | 0 4 1 |
| 42.72 | 24 | 2 0 0 |
| 45.22 | 21 | 0 0 2 |
| 55.55 | 14 | 2 4 0 |
| 57.11 | 17 | 1 3 2 |
| 63.95 | 15 | 2 0 2 |
| 65.42 | 13 | 1 7 0 |